Record 1
Structure and calculated powder X-ray diffraction pattern of Y7Ga2Rh2 (a PBE-relaxed structure; copper Kα).
No peak broadening, texture or thermal motion is included.

```
data_Y7Ga2Rh2
_space_group_name_H-M_alt 'C m m m'
_space_group_IT_number 65
_space_group_name_Hall '-C 2 2'
_cell_length_a 7.8283
_cell_length_b 10.8777
_cell_length_c 7.0022
_cell_angle_alpha 90.00
_cell_angle_beta 90.00
_cell_angle_gamma 90.00
loop_
_atom_site_label
_atom_site_type_symbol
_atom_site_fract_x
_atom_site_fract_y
_atom_site_fract_z
Y1 Y 0.0000 0.0000 0.0000
Y2 Y 0.0000 0.5000 0.2546
Y3 Y 0.2500 0.2500 0.2606
Ga1 Ga 0.1678 0.0000 0.5000
Rh1 Rh 0.0000 0.2921 0.0000
```

Largest 10 diffraction maxima, sorted by position, 2θ from 15° to 90°:
two_theta  Rel. int.  h k l
20.7  23.7  0 2 1
26.1  44.1  2 0 1
28.1  33.2  2 2 0
29.1  35.3  1 1 2
32.9  59.4  0 4 0
34.4  22.1  2 0 2
37.5  51.8  1 3 2
38.3  100.0  2 2 2
44.7  19.8  3 3 1
52.3  19.0  0 0 4

---

Record 2
Structure and calculated powder X-ray diffraction pattern of SnMoPt (a PBE-relaxed structure; copper Kα).
No peak broadening, texture or thermal motion is included.

```
data_SnMoPt
_space_group_name_H-M_alt 'A m m 2'
_space_group_IT_number 38
_space_group_name_Hall 'A 2 -2'
_cell_length_a 13.3851
_cell_length_b 2.9355
_cell_length_c 5.4892
_cell_angle_alpha 90.00
_cell_angle_beta 90.00
_cell_angle_gamma 90.00
loop_
_atom_site_label
_atom_site_type_symbol
_atom_site_fract_x
_atom_site_fract_y
_atom_site_fract_z
Sn1 Sn 0.1699 0.0000 0.0000
Mo1 Mo 0.0000 0.0000 0.3235
Mo2 Mo 0.5000 0.0000 0.2969
Pt1 Pt 0.3464 0.0000 0.6186
```

Largest 10 diffraction maxima, sorted by position, 2θ from 15° to 90°:
two_theta  Rel. int.  h k l
35.3  67.2  2 0 2
37.2  30.1  2 1 1
38.5  25.4  3 0 2
40.3  100.0  3 1 1
40.4  42.4  6 0 0
42.6  30.1  4 0 2
44.2  31.1  4 1 1
59.5  26.0  0 1 3
63.4  17.6  0 2 0
74.4  24.3  6 1 3

---

Record 3
Structure and calculated powder X-ray diffraction pattern of Dy2Y12Er (a PBE-relaxed structure; copper Kα).
No peak broadening, texture or thermal motion is included.

```
data_Dy2Y12Er
_space_group_name_H-M_alt 'C m m e'
_space_group_IT_number 67
_space_group_name_Hall '-C 2a 2'
_cell_length_a 7.0944
_cell_length_b 11.3404
_cell_length_c 24.6675
_cell_angle_alpha 90.00
_cell_angle_beta 90.00
_cell_angle_gamma 90.00
loop_
_atom_site_label
_atom_site_type_symbol
_atom_site_fract_x
_atom_site_fract_y
_atom_site_fract_z
Dy1 Dy 0.0000 0.2500 0.2331
Dy2 Dy 0.0000 0.2500 0.7668
Y1 Y 0.0000 0.0001 0.4235
Y2 Y 0.0000 0.0008 0.0622
Y3 Y 0.2494 0.2500 0.9126
Y4 Y 0.2500 0.0000 0.1744
Y5 Y 0.2500 0.0000 0.3013
Y6 Y 0.2499 0.2500 0.3724
Er1 Er 0.0000 0.2500 0.5000
```

Largest 10 diffraction maxima, sorted by position, 2θ from 15° to 90°:
two_theta  Rel. int.  h k l
29.0  26.8  2 0 4
29.9  39.5  0 2 7
30.6  49.2  2 2 2
31.6  56.0  0 4 0
31.7  19.4  2 2 3
33.1  100.0  0 2 8
37.0  21.6  2 2 6
43.4  18.2  2 4 4
57.2  20.5  0 6 8
58.6  17.6  2 4 11

---

Record 4
Structure and calculated powder X-ray diffraction pattern of CaPmHo14 (a PBE-relaxed structure; copper Kα).
No peak broadening, texture or thermal motion is included.

```
data_CaPmHo14
_space_group_name_H-M_alt 'P 4/m m m'
_space_group_IT_number 123
_space_group_name_Hall '-P 4 2'
_cell_length_a 7.0955
_cell_length_b 7.0955
_cell_length_c 10.0182
_cell_angle_alpha 90.00
_cell_angle_beta 90.00
_cell_angle_gamma 90.00
loop_
_atom_site_label
_atom_site_type_symbol
_atom_site_fract_x
_atom_site_fract_y
_atom_site_fract_z
Ca1 Ca 0.0000 0.0000 0.0000
Pm1 Pm 0.5000 0.5000 0.0000
Ho1 Ho 0.0000 0.0000 0.5000
Ho2 Ho 0.0000 0.5000 0.0000
Ho3 Ho 0.0000 0.5000 0.5000
Ho4 Ho 0.2529 0.2529 0.2548
Ho5 Ho 0.5000 0.5000 0.5000
```

Largest 10 diffraction maxima, sorted by position, 2θ from 15° to 90°:
two_theta  Rel. int.  h k l
30.9  100.0  2 0 2
35.8  50.6  2 2 0
51.5  35.8  4 0 0
61.3  42.4  4 2 2
64.4  12.2  4 0 4
75.8  3.8  4 4 0
76.0  1.9  0 0 8
84.2  17.5  6 0 2
86.8  11.0  6 2 0
87.0  5.4  2 2 8

---

Record 5
Structure and calculated powder X-ray diffraction pattern of La2Ce4Sb3N2 (a PBE-relaxed structure; copper Kα).
No peak broadening, texture or thermal motion is included.

```
data_La2Ce4Sb3N2
_space_group_name_H-M_alt 'I 4/m m m'
_space_group_IT_number 139
_space_group_name_Hall '-I 4 2'
_cell_length_a 4.7422
_cell_length_b 4.7422
_cell_length_c 26.5344
_cell_angle_alpha 90.00
_cell_angle_beta 90.00
_cell_angle_gamma 90.00
loop_
_atom_site_label
_atom_site_type_symbol
_atom_site_fract_x
_atom_site_fract_y
_atom_site_fract_z
La1 La 0.0000 0.0000 0.1951
Ce1 Ce 0.0000 0.5000 0.0834
Sb1 Sb 0.0000 0.0000 0.3242
Sb2 Sb 0.0000 0.0000 0.5000
N1 N 0.0000 0.0000 0.1023
```

Largest 10 diffraction maxima, sorted by position, 2θ from 15° to 90°:
two_theta  Rel. int.  h k l
26.9  15.5  0 0 8
27.4  41.6  1 1 2
29.9  17.0  1 1 4
30.2  14.6  1 0 7
33.5  100.0  1 1 6
37.9  51.4  2 0 0
47.1  13.4  2 0 8
51.7  13.8  2 0 10
54.7  17.5  2 2 0
65.8  28.3  3 1 6

---

Record 6
Structure and calculated powder X-ray diffraction pattern of Ag8Se6S (a PBE-relaxed structure; copper Kα).
No peak broadening, texture or thermal motion is included.

```
data_Ag8Se6S
_space_group_name_H-M_alt 'R -3'
_space_group_IT_number 148
_space_group_name_Hall '-R 3'
_cell_length_a 10.2039
_cell_length_b 10.2039
_cell_length_c 12.5140
_cell_angle_alpha 90.00
_cell_angle_beta 90.00
_cell_angle_gamma 120.00
loop_
_atom_site_label
_atom_site_type_symbol
_atom_site_fract_x
_atom_site_fract_y
_atom_site_fract_z
Ag1 Ag 0.0000 0.0000 0.2173
Ag2 Ag 0.0437 0.5219 0.7400
Se1 Se 0.0531 0.2765 0.2772
S1 S 0.0000 0.0000 0.0000
```

Largest 10 diffraction maxima, sorted by position, 2θ from 15° to 90°:
two_theta  Rel. int.  h k l
21.3  30.0  0 2 1
24.7  64.4  2 0 2
27.6  65.0  2 1 1
35.2  100.0  0 2 4
39.5  25.9  4 -1 2
43.4  50.1  0 4 2
45.3  79.3  3 2 1
47.1  28.4  1 1 6
50.6  22.5  4 0 4
70.2  47.6  7 -2 3

---

Record 7
Structure and calculated powder X-ray diffraction pattern of TmUCu (a PBE-relaxed structure; copper Kα).
No peak broadening, texture or thermal motion is included.

```
data_TmUCu
_space_group_name_H-M_alt 'C m c m'
_space_group_IT_number 63
_space_group_name_Hall '-C 2c 2'
_cell_length_a 3.1541
_cell_length_b 16.1314
_cell_length_c 4.8962
_cell_angle_alpha 90.00
_cell_angle_beta 90.00
_cell_angle_gamma 90.00
loop_
_atom_site_label
_atom_site_type_symbol
_atom_site_fract_x
_atom_site_fract_y
_atom_site_fract_z
Tm1 Tm 0.0000 0.0730 0.2500
U1 U 0.0000 0.2404 0.7500
Cu1 Cu 0.0000 0.4112 0.2500
```

Largest 10 diffraction maxima, sorted by position, 2θ from 15° to 90°:
two_theta  Rel. int.  h k l
28.7  12.9  0 4 1
33.3  31.9  0 6 0
34.3  8.3  1 1 1
36.7  28.0  0 0 2
37.8  100.0  1 3 1
50.4  20.0  0 6 2
62.6  17.8  1 9 1
66.8  19.1  1 3 3
80.8  10.4  2 6 2
86.3  8.3  1 9 3

---

Record 8
Structure and calculated powder X-ray diffraction pattern of FeHg2 (a PBE-relaxed structure; copper Kα).
No peak broadening, texture or thermal motion is included.

```
data_FeHg2
_space_group_name_H-M_alt 'R 3 2'
_space_group_IT_number 155
_space_group_name_Hall 'R 3 2"'
_cell_length_a 5.2569
_cell_length_b 5.2569
_cell_length_c 14.3120
_cell_angle_alpha 90.00
_cell_angle_beta 90.00
_cell_angle_gamma 120.00
loop_
_atom_site_label
_atom_site_type_symbol
_atom_site_fract_x
_atom_site_fract_y
_atom_site_fract_z
Fe1 Fe 0.0000 0.0000 0.1673
Hg1 Hg 0.0000 0.0000 0.5000
Hg2 Hg 0.0000 0.3240 0.0000
```

Largest 10 diffraction maxima, sorted by position, 2θ from 15° to 90°:
two_theta  Rel. int.  h k l
18.6  12.2  0 0 3
23.2  7.3  0 1 2
34.1  29.9  1 1 0
37.7  23.9  0 0 6
39.1  100.0  1 1 3
51.8  18.7  1 1 6
61.1  17.4  3 0 0
69.0  19.0  1 1 9
74.0  20.0  3 0 6
75.0  14.9  2 2 3